Structure and calculated X-ray powder pattern of TbCeNd4Se8 (a PBE-relaxed structure; a wavelength of 1.5418 Å).
Kinematic intensities with the Lorentz-polarization factor, no thermal factor.

Principal peaks in the range 2θ = 15–90°, in order of rising 2θ:
Position (°2θ), Rel. int.
24.01, 100
24.12, 35
29.09, 79
38.05, 61
41.49, 76
41.71, 76

Atomic structure:
Cell: 8.661 8.661 8.661 Å, 60.35 60.35 60.35°
Sites, in units of the cell vectors:
Tb (0.000, 0.000, 0.000)
Ce (0.624, 0.624, 0.624)
Nd (0.000, 0.000, 0.501)
Nd (0.000, 0.501, 0.000)
Nd (0.377, 0.377, 0.377)
Nd (0.501, 0.000, 0.000)
Se (0.221, 0.764, 0.764)
Se (0.237, 0.237, 0.777)
Se (0.237, 0.777, 0.237)
Se (0.244, 0.244, 0.244)
Se (0.759, 0.759, 0.759)
Se (0.764, 0.221, 0.764)
Se (0.764, 0.764, 0.221)
Se (0.777, 0.237, 0.237)


Structure and calculated X-ray powder pattern of Ce2Nd2Te2Se3 (a PBE-relaxed structure; a wavelength of 1.5418 Å).
Kinematic intensities with the Lorentz-polarization factor, no thermal factor.

Principal peaks in the range 2θ = 15–90°, in order of rising 2θ:
Position (°2θ), Rel. int.
30.96, 100
31.50, 43
32.28, 61
44.35, 37
45.33, 47
55.41, 17

Atomic structure:
Cell: 8.897 8.897 8.897 Å, 142.11 142.11 54.66°
Sites, in units of the cell vectors:
Ce (0.000, 0.500, 0.500)
Ce (0.500, 0.000, 0.500)
Nd (0.197, 0.197, 0.000)
Nd (0.803, 0.803, 0.000)
Te (0.396, 0.396, 0.000)
Te (0.604, 0.604, 0.000)
Se (0.000, 0.000, 0.000)
Se (0.250, 0.750, 0.500)
Se (0.750, 0.250, 0.500)


Copy entry 2 word for word.
Structure and calculated X-ray powder pattern of Ce2Nd2Te2Se3 (a PBE-relaxed structure; a wavelength of 1.5418 Å).
Kinematic intensities with the Lorentz-polarization factor, no thermal factor.

Principal peaks in the range 2θ = 15–90°, in order of rising 2θ:
Position (°2θ), Rel. int.
30.96, 100
31.50, 43
32.28, 61
44.35, 37
45.33, 47
55.41, 17

Atomic structure:
Cell: 8.897 8.897 8.897 Å, 142.11 142.11 54.66°
Sites, in units of the cell vectors:
Ce (0.000, 0.500, 0.500)
Ce (0.500, 0.000, 0.500)
Nd (0.197, 0.197, 0.000)
Nd (0.803, 0.803, 0.000)
Te (0.396, 0.396, 0.000)
Te (0.604, 0.604, 0.000)
Se (0.000, 0.000, 0.000)
Se (0.250, 0.750, 0.500)
Se (0.750, 0.250, 0.500)